Calculated powder XRD pattern
Compound: NaAl2Au4
Radiation: Cu Kα X-rays
Structure: DFT lattice parameters and positions (PBE)
Intensities are scaled so that the largest is 100.

Main lines, most intense first (10° ≤ 2θ ≤ 90°):
2theta	d/Å	I (rel.)	hkl
15.55	5.700	100	1 1 0
32.89	2.723	88	2 1 1
38.29	2.350	76	2 2 1
41.56	2.173	58	3 1 1
46.46	1.954	56	4 1 0
26.54	3.359	50	1 1 1
35.21	2.549	39	3 1 0
39.95	2.257	36	3 0 1
43.54	2.078	34	0 0 2
65.55	1.424	31	4 1 2

Crystal structure
Cell: 8.061 8.061 4.157 Å, 90.00 90.00 90.00°
Space group P4_2/mnm (No. 136)
Asymmetric unit:
Na 0.000 0.000 0.000 [2 per cell]
Al 0.228 0.228 0.500 [4 per cell]
Au 0.077 0.674 0.500 [8 per cell]

***

Calculated powder XRD pattern
Compound: Tm4Tl2Ni
Radiation: Cu Kα X-rays
Structure: DFT lattice parameters and positions (PBE)
Intensities are scaled so that the largest is 100.

Main lines, most intense first (10° ≤ 2θ ≤ 90°):
2theta	d/Å	I (rel.)	hkl
31.21	2.866	100	1 1 1
34.21	2.621	95	0 0 3
27.58	3.235	92	1 1 0
30.34	2.946	82	2 0 -2
31.86	2.809	69	2 0 1
41.49	2.176	58	1 1 -3
33.56	2.670	43	1 1 -2
57.92	1.592	39	1 1 4
35.88	2.503	38	2 1 -1
39.07	2.305	38	2 1 -2

Crystal structure
Cell: 6.886 3.703 8.146 Å, 90.00 105.15 90.00°
Space group P2/m (No. 10)
Asymmetric unit:
Tm 0.160 0.000 0.338 [2 per cell]
Tm 0.245 0.500 0.973 [2 per cell]
Tl 0.410 0.500 0.659 [2 per cell]
Ni 0.000 0.000 0.000 [1 per cell]

***

Calculated powder XRD pattern
Compound: Pm4S3O2
Radiation: Cu Kα X-rays
Structure: DFT lattice parameters and positions (PBE)
Intensities are scaled so that the largest is 100.

Main lines, most intense first (10° ≤ 2θ ≤ 90°):
2theta	d/Å	I (rel.)	hkl
27.17	3.282	100	0 0 2
29.43	3.035	33	4 0 0
31.86	2.809	32	1 3 1
38.21	2.356	22	3 3 -1
27.61	3.230	22	3 1 1
27.32	3.264	22	2 2 1
40.27	2.240	20	4 0 -2
28.70	3.110	16	1 3 0
47.74	1.905	14	5 1 2
39.88	2.261	14	1 3 -2

Crystal structure
Cell: 12.139 9.653 6.562 Å, 90.00 90.61 90.00°
Space group C2/c (No. 15)
Asymmetric unit:
Pm 0.109 0.178 0.003 [8 per cell]
Pm 0.155 0.421 0.577 [8 per cell]
S 0.000 0.384 0.250 [4 per cell]
S 0.124 0.123 0.562 [8 per cell]
O 0.206 0.374 0.907 [8 per cell]

***

Calculated powder XRD pattern
Compound: CaAcMg2In4
Radiation: Cu Kα X-rays
Structure: DFT lattice parameters and positions (PBE)
Intensities are scaled so that the largest is 100.

Main lines, most intense first (10° ≤ 2θ ≤ 90°):
2theta	d/Å	I (rel.)	hkl
32.58	2.748	100	0 1 8
34.00	2.637	95	1 1 0
59.95	1.543	34	1 2 8
47.80	1.903	34	2 0 8
20.49	4.335	29	0 1 2
25.34	3.515	18	0 1 5
60.84	1.523	17	3 0 0
19.70	4.506	16	1 0 1
57.21	1.610	16	1 0 16
29.98	2.980	15	1 0 7

Crystal structure
Cell: 5.2743 5.2743 27.5285 Å, 90.00 90.00 120.00°
Space group R-3m (No. 166, hexagonal axes)
Asymmetric unit:
Ca 0.0000 0.0000 0.0000 [3 per cell]
Ac 0.0000 0.0000 0.5000 [3 per cell]
Mg 0.0000 0.0000 0.2530 [6 per cell]
In 0.0000 0.0000 0.1159 [6 per cell]
In 0.0000 0.0000 0.3726 [6 per cell]

***

Calculated powder XRD pattern
Compound: Pm7Pr12Ho
Radiation: Cu Kα X-rays
Structure: DFT lattice parameters and positions (PBE)
Intensities are scaled so that the largest is 100.

Main lines, most intense first (10° ≤ 2θ ≤ 90°):
2theta	d/Å	I (rel.)	hkl
26.80	3.326	100	3 2 1
29.34	3.044	97	1 2 2
32.57	2.750	81	6 0 0
32.28	2.774	58	3 1 2
40.40	2.233	56	8 -5 1
46.50	1.953	45	5 -4 3
34.99	2.565	38	2 3 2
56.50	1.629	36	3 8 1
24.73	3.600	33	4 1 0
31.43	2.846	29	6 -4 1

Crystal structure
Cell: 19.0491 19.0491 6.9745 Å, 90.00 90.00 120.00°
Space group R-3 (No. 148, hexagonal axes)
Asymmetric unit:
Pm 0.0000 0.0000 0.0000 [3 per cell]
Pm 0.0064 0.1547 0.2790 [18 per cell]
Pr 0.9999 0.2129 0.7907 [18 per cell]
Pr 0.0077 0.5380 0.2411 [18 per cell]
Ho 0.0000 0.0000 0.5000 [3 per cell]

***

Calculated powder XRD pattern
Compound: AgPd2F8
Radiation: Cu Kα X-rays
Structure: DFT lattice parameters and positions (PBE)
Intensities are scaled so that the largest is 100.

Main lines, most intense first (10° ≤ 2θ ≤ 90°):
2theta	d/Å	I (rel.)	hkl
26.06	3.419	100	1 1 0
26.33	3.385	85	0 1 1
46.13	1.968	37	1 2 1
53.60	1.710	26	2 2 0
45.97	1.974	21	3 0 0
54.19	1.693	20	0 2 2
46.62	1.948	17	0 1 2
61.09	1.517	16	1 2 2
60.68	1.526	15	3 1 1
34.05	2.633	11	1 1 1

Crystal structure
Cell: 6.8387 6.8387 4.1259 Å, 90.00 90.00 120.00°
Space group P-3m1 (No. 164)
Asymmetric unit:
Ag 0.0000 0.0000 0.0000 [1 per cell]
Pd 0.3333 0.6667 0.2493 [2 per cell]
F 0.1628 0.3257 0.2459 [6 per cell]
F 0.3333 0.6667 0.7482 [2 per cell]

***

Calculated powder XRD pattern
Compound: PrYTe
Radiation: Cu Kα X-rays
Structure: DFT lattice parameters and positions (PBE)
Intensities are scaled so that the largest is 100.

Main lines, most intense first (10° ≤ 2θ ≤ 90°):
2theta	d/Å	I (rel.)	hkl
34.83	2.576	100	1 1 4
29.98	2.981	98	1 1 2
40.30	2.238	74	2 0 0
32.20	2.780	69	1 0 5
28.20	3.165	47	1 1 0
30.24	2.956	40	0 0 6
51.20	1.784	37	2 0 6
52.50	1.743	34	2 1 5
69.75	1.348	26	3 1 4
58.31	1.582	25	2 2 0

Crystal structure
Cell: 4.476 4.476 17.735 Å, 90.00 90.00 90.00°
Space group I4/mmm (No. 139)
Asymmetric unit:
Pr 0.000 0.000 0.180 [4 per cell]
Y 0.000 0.500 0.000 [4 per cell]
Te 0.000 0.000 0.367 [4 per cell]

***

Calculated powder XRD pattern
Compound: Ac3Pb4Au3
Radiation: Cu Kα X-rays
Structure: DFT lattice parameters and positions (PBE)
Intensities are scaled so that the largest is 100.

Main lines, most intense first (10° ≤ 2θ ≤ 90°):
2theta	d/Å	I (rel.)	hkl
31.40	2.849	100	3 2 1
37.74	2.383	37	4 2 0
26.44	3.371	18	3 1 0
41.50	2.176	16	4 2 2
46.68	1.946	13	5 2 1
54.44	1.685	12	6 2 0
43.28	2.090	11	4 3 1
64.21	1.450	11	5 5 2
58.75	1.572	11	6 3 1
60.15	1.538	10	4 4 4

Crystal structure
Cell: 10.659 10.659 10.659 Å, 90.00 90.00 90.00°
Space group I-43d (No. 220)
Asymmetric unit:
Ac 0.000 0.250 0.875 [12 per cell]
Pb 0.087 0.413 0.587 [16 per cell]
Au 0.000 0.250 0.375 [12 per cell]

***

Calculated powder XRD pattern
Compound: Li4Mg3Ge4
Radiation: Cu Kα X-rays
Structure: DFT lattice parameters and positions (PBE)
Intensities are scaled so that the largest is 100.

Main lines, most intense first (10° ≤ 2θ ≤ 90°):
2theta	d/Å	I (rel.)	hkl
23.47	3.790	100	0 2 2
23.22	3.831	67	0 0 4
39.59	2.276	55	1 1 4
36.90	2.436	54	1 2 1
40.95	2.204	40	0 2 6
66.71	1.402	35	1 5 4
45.06	2.012	32	1 3 2
41.40	2.181	24	0 4 0
31.61	2.830	19	1 1 0
33.76	2.655	16	1 1 2

Crystal structure
Cell: 2.992 8.723 15.324 Å, 90.00 90.00 90.00°
Space group Immm (No. 71)
Asymmetric unit:
Li 0.000 0.219 0.172 [8 per cell]
Mg 0.000 0.000 0.397 [4 per cell]
Mg 0.000 0.500 0.500 [2 per cell]
Ge 0.000 0.281 0.000 [4 per cell]
Ge 0.000 0.500 0.258 [4 per cell]

***

Calculated powder XRD pattern
Compound: Rb2TlCdO4
Radiation: Cu Kα X-rays
Structure: DFT lattice parameters and positions (PBE)
Intensities are scaled so that the largest is 100.

Main lines, most intense first (10° ≤ 2θ ≤ 90°):
2theta	d/Å	I (rel.)	hkl
35.37	2.538	100	1 1 1
30.80	2.903	87	1 1 -1
27.89	3.199	62	0 0 2
33.27	2.693	61	2 0 -2
30.10	2.969	47	2 0 0
13.84	6.399	46	0 0 1
47.92	1.898	39	1 1 -3
50.74	1.799	36	3 1 -1
57.34	1.607	19	1 1 3
48.54	1.875	18	2 0 2

Crystal structure
Cell: 6.334 3.446 6.825 Å, 90.00 110.35 90.00°
Space group P2/m (No. 10)
Asymmetric unit:
Rb 0.000 0.000 0.000 [1 per cell]
Rb 0.500 0.500 0.000 [1 per cell]
Tl 0.000 0.500 0.500 [1 per cell]
Cd 0.500 0.000 0.500 [1 per cell]
O 0.213 0.000 0.690 [2 per cell]
O 0.284 0.500 0.319 [2 per cell]

***

Calculated powder XRD pattern
Compound: CsTlHgPt
Radiation: Cu Kα X-rays
Structure: DFT lattice parameters and positions (PBE)
Intensities are scaled so that the largest is 100.

Main lines, most intense first (10° ≤ 2θ ≤ 90°):
2theta	d/Å	I (rel.)	hkl
30.17	2.962	100	1 0 3
29.25	3.054	67	0 1 3
46.01	1.973	63	1 2 3
33.90	2.644	50	0 2 0
24.90	3.575	48	1 1 0
55.45	1.657	47	1 1 6
37.06	2.426	39	2 0 0
19.94	4.454	36	1 0 1
47.89	1.900	35	2 1 3
51.09	1.788	32	2 2 0

Crystal structure
Cell: 4.852 5.288 11.220 Å, 90.00 90.00 90.00°
Space group Imm2 (No. 44)
Asymmetric unit:
Cs 0.000 0.000 0.000 [2 per cell]
Tl 0.000 0.000 0.652 [2 per cell]
Hg 0.000 0.000 0.334 [2 per cell]
Pt 0.000 0.500 0.265 [2 per cell]

***

Calculated powder XRD pattern
Compound: CuH4SeO5
Radiation: Cu Kα X-rays
Structure: DFT lattice parameters and positions (PBE)
Intensities are scaled so that the largest is 100.

Main lines, most intense first (10° ≤ 2θ ≤ 90°):
2theta	d/Å	I (rel.)	hkl
17.89	4.959	100	1 1 0
26.22	3.398	80	1 1 2
16.36	5.417	80	1 0 1
23.29	3.820	66	1 0 2
35.27	2.545	60	2 1 2
29.12	3.066	48	1 2 1
25.78	3.456	43	0 2 1
30.97	2.887	40	2 1 1
31.16	2.870	37	0 1 3
37.53	2.397	26	0 3 1

Crystal structure
Cell: 6.652 7.440 9.332 Å, 90.00 90.00 90.00°
Space group P2_12_12_1 (No. 19)
Asymmetric unit:
Cu 0.226 0.040 0.098 [4 per cell]
H 0.015 0.451 0.155 [4 per cell]
H 0.071 0.651 0.181 [4 per cell]
H 0.120 0.317 0.945 [4 per cell]
H 0.190 0.622 0.542 [4 per cell]
Se 0.022 0.793 0.860 [4 per cell]
O 0.000 0.483 0.532 [4 per cell]
O 0.016 0.893 0.689 [4 per cell]
O 0.043 0.065 0.309 [4 per cell]
O 0.186 0.299 0.042 [4 per cell]
O 0.226 0.218 0.636 [4 per cell]